Computed powder X-ray diffraction pattern
Compound: Ho2N3
Radiation: Cu Kα, 1.54184 Å
Structure: a DFT-relaxed cell (GGA-PBE, the Materials Project)
No peak broadening, texture or thermal motion is included.

Top 8 peaks for 15 to 90 degrees two-theta, sorted by position:
Position (°2θ)	Rel. int.
19.93	9
28.33	100
32.83	38
47.12	38
55.89	34
58.61	8
76.04	10
78.39	8

Atomic structure:
Unit cell a=9.4496 b=9.4496 c=9.4496 alpha=109.47 beta=109.47 gamma=109.47
Fractional positions:
Ho  0.0000  0.0000  0.0000
Ho  0.0000  0.5000  0.5000
Ho  0.0302  0.7802  0.2500
Ho  0.2198  0.7500  0.9698
Ho  0.2500  0.0302  0.7802
Ho  0.2500  0.5302  0.2802
Ho  0.2802  0.2500  0.5302
Ho  0.4698  0.7198  0.7500
Ho  0.5000  0.0000  0.5000
Ho  0.5000  0.5000  0.0000
Ho  0.5302  0.2802  0.2500
Ho  0.7198  0.7500  0.4698
Ho  0.7500  0.4698  0.7198
Ho  0.7500  0.9698  0.2198
Ho  0.7802  0.2500  0.0302
Ho  0.9698  0.2198  0.7500
N  0.0093  0.4726  0.7399
N  0.0274  0.0368  0.2673
N  0.0368  0.2673  0.0274
N  0.2306  0.4632  0.4907
N  0.2327  0.2694  0.7601
N  0.2399  0.7673  0.7306
N  0.2601  0.9907  0.5274
N  0.2673  0.0274  0.0368
N  0.2694  0.7601  0.2327
N  0.4632  0.4907  0.2306
N  0.4726  0.7399  0.0093
N  0.4907  0.2306  0.4632
N  0.5093  0.7694  0.5368
N  0.5274  0.2601  0.9907
N  0.5368  0.5093  0.7694
N  0.7306  0.2399  0.7673
N  0.7327  0.9726  0.9632
N  0.7399  0.0093  0.4726
N  0.7601  0.2327  0.2694
N  0.7673  0.7306  0.2399
N  0.7694  0.5368  0.5093
N  0.9632  0.7327  0.9726
N  0.9726  0.9632  0.7327
N  0.9907  0.5274  0.2601